1.
Diffraction record for Pm2Dy3Zn3. The powder diffractogram is theoretical, not measured: it uses DFT lattice parameters and positions (GGA-PBE) and λ = 1.5418 Å (Cu Kα).

Peak list (10 most intense, 5° ≤ 2θ ≤ 70°, by angle)
(1 0 1), 3.598 Å, 24.74°, I = 9; (0 1 5), 3.325 Å, 26.81°, I = 20; (0 0 8), 2.716 Å, 32.98°, I = 18; (1 1 4), 2.613 Å, 34.32°, I = 100; (0 2 0), 2.583 Å, 34.73°, I = 28; (0 2 8), 1.872 Å, 48.65°, I = 12; (2 0 0), 1.824 Å, 49.99°, I = 10; (0 1 13), 1.589 Å, 58.06°, I = 12; (1 3 4), 1.497 Å, 62.00°, I = 18; (2 2 0), 1.490 Å, 62.31°, I = 10

Atomic structure:
a = 3.649 Å, b = 5.165 Å, c = 21.727 Å
α = 90.00°, β = 90.00°, γ = 90.00°
Space group Immm (No. 71)
Asymmetric unit:
Pm 0.000 0.000 0.228
Dy 0.000 0.000 0.000
Dy 0.000 0.500 0.115
Zn 0.000 0.000 0.500
Zn 0.000 0.500 0.388

=====

2.
Diffraction record for PmDy4Zn. The powder diffractogram is theoretical, not measured: it uses DFT lattice parameters and positions (GGA-PBE) and λ = 1.5418 Å (Cu Kα).

Peak list (10 most intense, 5° ≤ 2θ ≤ 70°, by angle)
(1 0 2), 3.166 Å, 28.19°, I = 19; (1 0 3), 2.813 Å, 31.82°, I = 100; (0 0 5), 2.740 Å, 32.68°, I = 13; (1 1 0), 2.524 Å, 35.56°, I = 47; (1 1 5), 1.857 Å, 49.07°, I = 16; (2 0 0), 1.785 Å, 51.17°, I = 17; (1 1 6), 1.693 Å, 54.16°, I = 10; (1 0 8), 1.544 Å, 59.91°, I = 14; (2 1 3), 1.507 Å, 61.53°, I = 30; (2 0 5), 1.496 Å, 62.05°, I = 8

Atomic structure:
a = 3.570 Å, b = 3.570 Å, c = 13.700 Å
α = 90.00°, β = 90.00°, γ = 90.00°
Space group P4/mmm (No. 123)
Asymmetric unit:
Pm 0.000 0.000 0.000
Dy 0.000 0.000 0.371
Dy 0.500 0.500 0.186
Zn 0.500 0.500 0.500

=====

3.
Diffraction record for PmDy6Zn2. The powder diffractogram is theoretical, not measured: it uses DFT lattice parameters and positions (GGA-PBE) and λ = 1.5418 Å (Cu Kα).

Peak list (10 most intense, 5° ≤ 2θ ≤ 70°, by angle)
(4 0 -3), 2.787 Å, 32.12°, I = 28; (2 0 3), 2.765 Å, 32.38°, I = 25; (1 1 -3), 2.667 Å, 33.60°, I = 100; (6 0 0), 1.965 Å, 46.19°, I = 6; (2 0 -6), 1.961 Å, 46.31°, I = 9; (0 2 0), 1.817 Å, 50.21°, I = 9; (5 1 -6), 1.585 Å, 58.21°, I = 11; (1 1 6), 1.577 Å, 58.53°, I = 15; (4 2 -3), 1.522 Å, 60.88°, I = 13; (2 2 3), 1.519 Å, 61.02°, I = 8

Atomic structure:
a = 12.457 Å, b = 3.634 Å, c = 11.763 Å
α = 90.00°, β = 108.80°, γ = 90.00°
Space group C2/m (No. 12)
Asymmetric unit:
Pm 0.000 0.000 0.000
Dy 0.022 0.000 0.333
Dy 0.188 0.500 0.588
Dy 0.191 0.500 0.874
Zn 0.151 0.500 0.210

=====

4.
Diffraction record for PmDyZr. The powder diffractogram is theoretical, not measured: it uses DFT lattice parameters and positions (GGA-PBE) and λ = 1.5418 Å (Cu Kα).

Peak list (10 most intense, 5° ≤ 2θ ≤ 70°, by angle)
(1 0 2), 3.245 Å, 27.49°, I = 37; (1 0 3), 2.814 Å, 31.80°, I = 100; (1 1 0), 2.674 Å, 33.51°, I = 65; (0 0 5), 2.527 Å, 35.52°, I = 16; (1 0 4), 2.425 Å, 37.08°, I = 11; (2 0 0), 1.891 Å, 48.12°, I = 23; (1 1 5), 1.837 Å, 49.63°, I = 24; (2 1 3), 1.570 Å, 58.84°, I = 34; (2 0 5), 1.514 Å, 61.22°, I = 13; (1 0 8), 1.458 Å, 63.86°, I = 13

Atomic structure:
a = 3.782 Å, b = 3.782 Å, c = 12.637 Å
α = 90.00°, β = 90.00°, γ = 90.00°
Space group P4/nmm (No. 129, origin choice 2)
Asymmetric unit:
Pm 0.250 0.250 0.097
Dy 0.250 0.250 0.706
Zr 0.250 0.250 0.449

=====

5.
Diffraction record for Pm4Dy6Zr. The powder diffractogram is theoretical, not measured: it uses DFT lattice parameters and positions (GGA-PBE) and λ = 1.5418 Å (Cu Kα).

Peak list (10 most intense, 5° ≤ 2θ ≤ 70°, by angle)
(2 1 2), 2.968 Å, 30.11°, I = 100; (1 0 3), 2.890 Å, 30.94°, I = 9; (3 1 0), 2.748 Å, 32.58°, I = 55; (2 1 3), 2.407 Å, 37.36°, I = 10; (0 0 4), 2.299 Å, 39.19°, I = 10; (4 1 2), 1.916 Å, 47.45°, I = 11; (3 1 4), 1.763 Å, 51.86°, I = 11; (3 3 4), 1.529 Å, 60.55°, I = 10; (5 2 2), 1.523 Å, 60.84°, I = 20; (2 1 6), 1.426 Å, 65.47°, I = 11

Atomic structure:
a = 8.690 Å, b = 8.690 Å, c = 9.195 Å
α = 90.00°, β = 90.00°, γ = 90.00°
Space group P4/mnc (No. 128)
Asymmetric unit:
Pm 0.144 0.356 0.250
Dy 0.000 0.000 0.175
Dy 0.152 0.658 0.500
Zr 0.000 0.000 0.500

=====

6.
Diffraction record for Pr3Dy2. The powder diffractogram is theoretical, not measured: it uses DFT lattice parameters and positions (GGA-PBE) and λ = 1.5418 Å (Cu Kα).

Peak list (10 most intense, 5° ≤ 2θ ≤ 70°, by angle)
(0 0 2), 3.180 Å, 28.06°, I = 29; (1 4 1), 3.078 Å, 29.01°, I = 51; (1 5 0), 2.978 Å, 30.00°, I = 100; (2 1 1), 2.825 Å, 31.68°, I = 82; (1 1 2), 2.809 Å, 31.85°, I = 25; (0 4 2), 2.539 Å, 35.36°, I = 35; (1 6 1), 2.382 Å, 37.77°, I = 21; (1 5 2), 2.174 Å, 41.53°, I = 18; (2 1 3), 1.759 Å, 51.98°, I = 27; (1 5 4), 1.403 Å, 66.67°, I = 16

Atomic structure:
a = 6.419 Å, b = 16.819 Å, c = 6.360 Å
α = 90.00°, β = 90.00°, γ = 90.00°
Space group Ibam (No. 72)
Asymmetric unit:
Pr 0.000 0.000 0.250
Pr 0.097 0.400 0.000
Dy 0.127 0.195 0.000

=====

7.
Diffraction record for Pr13Dy2. The powder diffractogram is theoretical, not measured: it uses DFT lattice parameters and positions (GGA-PBE) and λ = 1.5418 Å (Cu Kα).

Peak list (10 most intense, 5° ≤ 2θ ≤ 70°, by angle)
(-2 1 1), 2.927 Å, 30.55°, I = 100; (2 1 2), 2.920 Å, 30.62°, I = 18; (2 3 0), 2.266 Å, 39.77°, I = 6; (3 2 0), 2.069 Å, 43.75°, I = 17; (2 4 4), 1.788 Å, 51.08°, I = 5; (3 0 -3), 1.691 Å, 54.25°, I = 23; (3 -3 0), 1.688 Å, 54.35°, I = 11; (1 6 3), 1.527 Å, 60.65°, I = 13; (4 3 3), 1.525 Å, 60.75°, I = 6; (-4 2 2), 1.463 Å, 63.59°, I = 5

Atomic structure:
a = 6.851 Å, b = 9.248 Å, c = 9.253 Å
α = 66.56°, β = 82.45°, γ = 82.33°
Space group P-1 (No. 2)
Asymmetric unit:
Pr 0.000 0.000 0.000
Pr 0.102 0.435 0.766
Pr 0.194 0.193 0.209
Pr 0.298 0.628 0.973
Pr 0.304 0.962 0.638
Pr 0.397 0.397 0.406
Pr 0.499 0.169 0.835
Dy 0.099 0.767 0.431

=====

8.
Diffraction record for Pr3Dy. The powder diffractogram is theoretical, not measured: it uses DFT lattice parameters and positions (GGA-PBE) and λ = 1.5418 Å (Cu Kα).

Peak list (10 most intense, 5° ≤ 2θ ≤ 70°, by angle)
(1 0 1), 3.201 Å, 27.87°, I = 23; (0 2 0), 2.980 Å, 29.98°, I = 26; (0 1 2), 2.820 Å, 31.73°, I = 100; (1 2 1), 2.181 Å, 41.40°, I = 16; (2 0 0), 1.851 Å, 49.24°, I = 7; (1 0 3), 1.847 Å, 49.34°, I = 13; (0 3 2), 1.688 Å, 54.35°, I = 22; (2 2 0), 1.571 Å, 58.79°, I = 23; (2 1 2), 1.547 Å, 59.79°, I = 11; (0 1 4), 1.544 Å, 59.91°, I = 5

Atomic structure:
a = 3.701 Å, b = 5.960 Å, c = 6.394 Å
α = 90.00°, β = 90.00°, γ = 90.00°
Space group Pmm2 (No. 25)
Asymmetric unit:
Pr 0.000 0.000 0.000
Pr 0.000 0.500 0.334
Pr 0.500 0.500 0.833
Dy 0.500 0.000 0.501

=====

9.
Diffraction record for Pr3Dy13. The powder diffractogram is theoretical, not measured: it uses DFT lattice parameters and positions (GGA-PBE) and λ = 1.5418 Å (Cu Kα).

Peak list (7 most intense, 5° ≤ 2θ ≤ 70°, by angle)
(2 2 2), 2.918 Å, 30.64°, I = 100; (0 4 0), 2.528 Å, 35.51°, I = 34; (4 0 0), 2.523 Å, 35.58°, I = 17; (4 4 0), 1.787 Å, 51.12°, I = 36; (2 6 2), 1.524 Å, 60.76°, I = 29; (6 2 2), 1.522 Å, 60.85°, I = 14; (4 4 4), 1.459 Å, 63.80°, I = 12

Atomic structure:
a = 10.094 Å, b = 10.105 Å, c = 10.122 Å
α = 90.00°, β = 90.00°, γ = 90.00°
Space group Amm2 (No. 38)
Asymmetric unit:
Pr 0.000 0.000 0.000
Pr 0.251 0.000 0.253
Dy 0.000 0.000 0.504
Dy 0.000 0.248 0.752
Dy 0.251 0.249 0.502
Dy 0.252 0.000 0.751
Dy 0.500 0.000 0.000
Dy 0.500 0.000 0.505
Dy 0.500 0.248 0.752

=====

10.
Diffraction record for PrDy3. The powder diffractogram is theoretical, not measured: it uses DFT lattice parameters and positions (GGA-PBE) and λ = 1.5418 Å (Cu Kα).

Peak list (10 most intense, 5° ≤ 2θ ≤ 70°, by angle)
(2 0 0), 3.154 Å, 28.30°, I = 24; (0 0 2), 2.871 Å, 31.15°, I = 25; (2 0 1), 2.764 Å, 32.39°, I = 100; (2 0 2), 2.123 Å, 42.58°, I = 16; (2 2 0), 1.821 Å, 50.10°, I = 20; (2 0 3), 1.636 Å, 56.22°, I = 21; (4 0 0), 1.577 Å, 58.54°, I = 3; (2 2 2), 1.538 Å, 60.18°, I = 23; (4 0 1), 1.521 Å, 60.93°, I = 16; (4 0 2), 1.382 Å, 67.80°, I = 4

Atomic structure:
a = 7.2831 Å, b = 7.2831 Å, c = 5.7424 Å
α = 90.00°, β = 90.00°, γ = 120.00°
Space group P6_3/mmc (No. 194)
Asymmetric unit:
Pr 0.3333 0.6667 0.2500
Dy 0.1656 0.3313 0.7500

=====

11.
Diffraction record for Pr3Dy. The powder diffractogram is theoretical, not measured: it uses DFT lattice parameters and positions (GGA-PBE) and λ = 1.5418 Å (Cu Kα).

Peak list (5 most intense, 5° ≤ 2θ ≤ 70°, by angle)
(1 1 2), 2.998 Å, 29.80°, I = 100; (2 0 0), 2.597 Å, 34.54°, I = 51; (2 2 0), 1.836 Å, 49.65°, I = 36; (3 1 2), 1.566 Å, 58.99°, I = 43; (2 2 4), 1.499 Å, 61.90°, I = 12

Atomic structure:
a = 5.191 Å, b = 5.191 Å, c = 10.394 Å
α = 90.00°, β = 90.00°, γ = 90.00°
Space group I4/mmm (No. 139)
Asymmetric unit:
Pr 0.000 0.000 0.000
Pr 0.000 0.500 0.250
Dy 0.000 0.000 0.500

=====

12.
Diffraction record for PrDy. The powder diffractogram is theoretical, not measured: it uses DFT lattice parameters and positions (GGA-PBE) and λ = 1.5418 Å (Cu Kα).

Peak list (10 most intense, 5° ≤ 2θ ≤ 70°, by angle)
(0 1 2), 3.113 Å, 28.68°, I = 35; (0 0 12), 2.936 Å, 30.44°, I = 54; (0 1 5), 2.885 Å, 31.00°, I = 100; (1 0 7), 2.678 Å, 33.46°, I = 96; (1 1 0), 1.826 Å, 49.95°, I = 42; (0 1 17), 1.733 Å, 52.81°, I = 18; (1 0 19), 1.600 Å, 57.62°, I = 23; (1 1 12), 1.550 Å, 59.63°, I = 48; (2 0 5), 1.543 Å, 59.96°, I = 15; (0 2 7), 1.509 Å, 61.47°, I = 17

Atomic structure:
a = 3.6516 Å, b = 3.6516 Å, c = 35.2347 Å
α = 90.00°, β = 90.00°, γ = 120.00°
Space group R-3m (No. 166, hexagonal axes)
Asymmetric unit:
Pr 0.0000 0.0000 0.2100
Dy 0.0000 0.0000 0.3731

=====

13.
Diffraction record for Pr7Dy3. The powder diffractogram is theoretical, not measured: it uses DFT lattice parameters and positions (GGA-PBE) and λ = 1.5418 Å (Cu Kα).

Peak list (10 most intense, 5° ≤ 2θ ≤ 70°, by angle)
(5 1 0), 2.989 Å, 29.89°, I = 100; (0 2 0), 2.594 Å, 34.58°, I = 34; (4 0 2), 2.578 Å, 34.79°, I = 17; (6 2 -2), 1.833 Å, 49.74°, I = 18; (4 2 2), 1.828 Å, 49.90°, I = 18; (5 3 0), 1.564 Å, 59.08°, I = 22; (1 3 -2), 1.562 Å, 59.14°, I = 7; (9 1 2), 1.558 Å, 59.33°, I = 7; (3 1 4), 1.555 Å, 59.42°, I = 7; (10 2 0), 1.496 Å, 62.05°, I = 6

Atomic structure:
a = 18.699 Å, b = 5.185 Å, c = 7.308 Å
α = 90.00°, β = 101.64°, γ = 90.00°
Space group C2/m (No. 12)
Asymmetric unit:
Pr 0.000 0.000 0.000
Pr 0.100 0.500 0.299
Pr 0.101 0.500 0.802
Pr 0.200 0.000 0.601
Dy 0.000 0.000 0.500
Dy 0.201 0.000 0.100

=====

14.
Diffraction record for PrDy3. The powder diffractogram is theoretical, not measured: it uses DFT lattice parameters and positions (GGA-PBE) and λ = 1.5418 Å (Cu Kα).

Peak list (6 most intense, 5° ≤ 2θ ≤ 70°, by angle)
(1 1 0), 2.926 Å, 30.55°, I = 100; (1 0 2), 2.534 Å, 35.42°, I = 51; (2 0 0), 1.792 Å, 50.96°, I = 36; (2 1 2), 1.529 Å, 60.56°, I = 29; (1 3 0), 1.526 Å, 60.67°, I = 14; (2 2 0), 1.463 Å, 63.60°, I = 12

Atomic structure:
a = 3.588 Å, b = 5.061 Å, c = 7.170 Å
α = 90.00°, β = 90.06°, γ = 90.00°
Space group P2/m (No. 10)
Asymmetric unit:
Pr 0.000 0.000 0.000
Dy 0.000 0.000 0.500
Dy 0.500 0.500 0.255